No. 1
Diffraction record for CaTl2TeS4. The X-ray powder pattern is calculated, not measured: it uses a cell relaxed with GGA-PBE and Cu Kα.
Peak positions follow from Bragg's law for the DFT cell and can differ from measured ones.

Structure:
```
data_CaTl2TeS4
_chemical_formula_sum 'Ca4 Tl8 Te4 S16'
_space_group_name_H-M_alt 'I m m a'
_space_group_IT_number 74
_space_group_name_Hall '-I 2b 2'
_cell_length_a 8.320
_cell_length_b 8.470
_cell_length_c 11.913
_cell_angle_alpha 90.00
_cell_angle_beta 90.00
_cell_angle_gamma 90.00
loop_
_atom_site_label
_atom_site_fract_x
_atom_site_fract_y
_atom_site_fract_z
Ca1 0.000 0.000 0.000
Tl1 0.000 0.000 0.500
Tl2 0.250 0.250 0.250
Te1 0.250 0.250 0.750
S1 0.000 0.034 0.760
S2 0.227 0.250 0.976
```

The 10 most intense peaks (2θ = 10–90°), low angle first:
| 2theta | d_spacing | I (rel.) |
| --- | --- | --- |
| 12.98 | 6.821 | 28 |
| 24.78 | 3.593 | 29 |
| 25.81 | 3.451 | 59 |
| 26.13 | 3.411 | 56 |
| 30.00 | 2.978 | 50 |
| 30.11 | 2.968 | 100 |
| 43.03 | 2.102 | 71 |
| 50.76 | 1.799 | 33 |
| 51.28 | 1.781 | 20 |
| 53.07 | 1.726 | 18 |

No. 2
Diffraction record for Ca2ThS4. The X-ray powder pattern is calculated, not measured: it uses a cell relaxed with GGA-PBE and Cu Kα.
Peak positions follow from Bragg's law for the DFT cell and can differ from measured ones.

Structure:
```
data_Ca2ThS4
_chemical_formula_sum 'Ca4 Th2 S8'
_space_group_name_H-M_alt 'P b a m'
_space_group_IT_number 55
_space_group_name_Hall '-P 2 2ab'
_cell_length_a 7.085
_cell_length_b 12.162
_cell_length_c 4.164
_cell_angle_alpha 90.00
_cell_angle_beta 90.00
_cell_angle_gamma 90.00
loop_
_atom_site_label
_atom_site_fract_x
_atom_site_fract_y
_atom_site_fract_z
Ca1 0.081 0.184 0.000
Th1 0.000 0.500 0.500
S1 0.140 0.712 0.500
S2 0.247 0.960 0.000
```

The 10 most intense peaks (2θ = 10–90°), low angle first:
| 2theta | d_spacing | I (rel.) |
| --- | --- | --- |
| 14.49 | 6.112 | 100 |
| 25.31 | 3.519 | 37 |
| 25.88 | 3.442 | 83 |
| 29.38 | 3.040 | 15 |
| 33.20 | 2.698 | 14 |
| 36.43 | 2.466 | 43 |
| 44.73 | 2.026 | 15 |
| 44.91 | 2.018 | 15 |
| 45.02 | 2.014 | 24 |
| 50.94 | 1.793 | 14 |

No. 3
Diffraction record for CaTiS2. The X-ray powder pattern is calculated, not measured: it uses a cell relaxed with GGA-PBE and Cu Kα.
Peak positions follow from Bragg's law for the DFT cell and can differ from measured ones.

Structure:
```
data_CaTiS2
_chemical_formula_sum 'Ca1 Ti1 S2'
_space_group_name_H-M_alt 'P -3 m 1'
_space_group_IT_number 164
_space_group_name_Hall '-P 3 2"'
_cell_length_a 3.6492
_cell_length_b 3.6492
_cell_length_c 6.5615
_cell_angle_alpha 90.00
_cell_angle_beta 90.00
_cell_angle_gamma 120.00
loop_
_atom_site_label
_atom_site_fract_x
_atom_site_fract_y
_atom_site_fract_z
Ca1 0.0000 0.0000 0.0000
Ti1 0.0000 0.0000 0.5000
S1 0.3333 0.6667 0.2798
```

The 10 most intense peaks (2θ = 10–90°), low angle first:
| 2theta | d_spacing | I (rel.) |
| --- | --- | --- |
| 28.24 | 3.160 | 28 |
| 31.42 | 2.847 | 43 |
| 39.60 | 2.276 | 100 |
| 49.99 | 1.825 | 38 |
| 50.76 | 1.798 | 8 |
| 56.06 | 1.640 | 7 |
| 63.94 | 1.456 | 8 |
| 65.57 | 1.424 | 20 |
| 78.39 | 1.220 | 15 |
| 86.76 | 1.122 | 18 |

No. 4
Diffraction record for Ca3Ti4S8. The X-ray powder pattern is calculated, not measured: it uses a cell relaxed with GGA-PBE and Cu Kα.
Peak positions follow from Bragg's law for the DFT cell and can differ from measured ones.

Structure:
```
data_Ca3Ti4S8
_chemical_formula_sum 'Ca6 Ti8 S16'
_space_group_name_H-M_alt 'C 1 2/m 1'
_space_group_IT_number 12
_space_group_name_Hall '-C 2y'
_cell_length_a 12.322
_cell_length_b 7.151
_cell_length_c 9.023
_cell_angle_alpha 90.00
_cell_angle_beta 132.40
_cell_angle_gamma 90.00
loop_
_atom_site_label
_atom_site_fract_x
_atom_site_fract_y
_atom_site_fract_z
Ca1 0.000 0.000 0.000
Ca2 0.250 0.250 0.000
Ti1 0.000 0.279 0.500
Ti2 0.240 0.500 0.494
S1 0.022 0.000 0.709
S2 0.030 0.500 0.733
S3 0.227 0.247 0.286
```

The 10 most intense peaks (2θ = 10–90°), low angle first:
| 2theta | d_spacing | I (rel.) |
| --- | --- | --- |
| 13.29 | 6.662 | 46 |
| 28.87 | 3.092 | 31 |
| 31.85 | 2.810 | 52 |
| 31.98 | 2.799 | 50 |
| 39.64 | 2.274 | 97 |
| 39.89 | 2.260 | 100 |
| 40.10 | 2.249 | 23 |
| 51.09 | 1.788 | 26 |
| 51.31 | 1.781 | 54 |
| 88.64 | 1.103 | 19 |

No. 5
Diffraction record for CaTi2S5. The X-ray powder pattern is calculated, not measured: it uses a cell relaxed with GGA-PBE and Cu Kα.
Peak positions follow from Bragg's law for the DFT cell and can differ from measured ones.

Structure:
```
data_CaTi2S5
_chemical_formula_sum 'Ca2 Ti4 S10'
_space_group_name_H-M_alt 'P m m n'
_space_group_IT_number 59
_cell_length_a 4.151
_cell_length_b 14.719
_cell_length_c 6.205
_cell_angle_alpha 90.00
_cell_angle_beta 90.00
_cell_angle_gamma 90.00
loop_
_space_group_symop_operation_xyz
'x,y,z'
'-x,-y,-z'
'-x+1/2,-y+1/2,z'
'x+1/2,y+1/2,-z'
'x+1/2,-y,-z'
'-x+1/2,y,z'
'-x,y+1/2,-z'
'x,-y+1/2,z'
loop_
_atom_site_label
_atom_site_fract_x
_atom_site_fract_y
_atom_site_fract_z
Ca1 0.250 0.250 0.092
Ti1 0.250 0.599 0.431
S1 0.250 0.071 0.387
S2 0.250 0.633 0.091
S3 0.250 0.750 0.575
```

The 10 most intense peaks (2θ = 10–90°), low angle first:
| 2theta | d_spacing | I (rel.) |
| --- | --- | --- |
| 14.27 | 6.205 | 75 |
| 18.70 | 4.744 | 70 |
| 22.25 | 3.995 | 42 |
| 25.82 | 3.450 | 100 |
| 28.77 | 3.103 | 42 |
| 36.64 | 2.453 | 56 |
| 38.22 | 2.355 | 73 |
| 43.61 | 2.076 | 60 |
| 49.22 | 1.851 | 44 |
| 62.86 | 1.478 | 33 |

No. 6
Diffraction record for Ca5Ti8S16. The X-ray powder pattern is calculated, not measured: it uses a cell relaxed with GGA-PBE and Cu Kα.
Peak positions follow from Bragg's law for the DFT cell and can differ from measured ones.

Structure:
```
data_Ca5Ti8S16
_chemical_formula_sum 'Ca10 Ti16 S32'
_space_group_name_H-M_alt 'C 1 2/m 1'
_space_group_IT_number 12
_space_group_name_Hall '-C 2y'
_cell_length_a 12.278
_cell_length_b 7.175
_cell_length_c 13.301
_cell_angle_alpha 90.00
_cell_angle_beta 91.69
_cell_angle_gamma 90.00
loop_
_atom_site_label
_atom_site_fract_x
_atom_site_fract_y
_atom_site_fract_z
Ca1 0.000 0.000 0.000
Ca2 0.000 0.000 0.500
Ca3 0.000 0.500 0.000
Ca4 0.250 0.250 0.500
Ti1 0.011 0.500 0.746
Ti2 0.021 0.000 0.750
Ti3 0.242 0.236 0.756
S1 0.074 0.250 0.149
S2 0.085 0.251 0.637
S3 0.165 0.000 0.356
S4 0.169 0.500 0.355
S5 0.173 0.500 0.857
S6 0.176 0.000 0.869
```

The 10 most intense peaks (2θ = 10–90°), low angle first:
| 2theta | d_spacing | I (rel.) |
| --- | --- | --- |
| 13.32 | 6.648 | 56 |
| 28.83 | 3.097 | 18 |
| 31.70 | 2.822 | 54 |
| 32.07 | 2.791 | 22 |
| 32.50 | 2.755 | 24 |
| 39.45 | 2.284 | 100 |
| 40.09 | 2.249 | 34 |
| 40.60 | 2.222 | 35 |
| 50.91 | 1.794 | 22 |
| 51.42 | 1.777 | 39 |

No. 7
Diffraction record for CaTlS14. The X-ray powder pattern is calculated, not measured: it uses a cell relaxed with GGA-PBE and Cu Kα.
Peak positions follow from Bragg's law for the DFT cell and can differ from measured ones.

Structure:
```
data_CaTlS14
_chemical_formula_sum 'Ca4 Tl4 S56'
_space_group_name_H-M_alt 'I m m a'
_space_group_IT_number 74
_space_group_name_Hall '-I 2b 2'
_cell_length_a 11.189
_cell_length_b 14.080
_cell_length_c 12.193
_cell_angle_alpha 90.00
_cell_angle_beta 90.00
_cell_angle_gamma 90.00
loop_
_atom_site_label
_atom_site_fract_x
_atom_site_fract_y
_atom_site_fract_z
Ca1 0.250 0.250 0.250
Tl1 0.000 0.250 0.652
S1 0.000 0.138 0.164
S2 0.000 0.150 0.327
S3 0.000 0.180 0.892
S4 0.151 0.115 0.402
S5 0.240 0.152 0.672
```

The 10 most intense peaks (2θ = 10–90°), low angle first:
| 2theta | d_spacing | I (rel.) |
| --- | --- | --- |
| 10.73 | 8.244 | 35 |
| 12.57 | 7.040 | 100 |
| 14.53 | 6.096 | 24 |
| 20.27 | 4.380 | 44 |
| 25.24 | 3.528 | 33 |
| 25.83 | 3.449 | 46 |
| 32.00 | 2.797 | 24 |
| 33.48 | 2.677 | 20 |
| 35.87 | 2.504 | 29 |
| 36.47 | 2.464 | 38 |

No. 8
Diffraction record for Ca2Tl4S5. The X-ray powder pattern is calculated, not measured: it uses a cell relaxed with GGA-PBE and Cu Kα.
Peak positions follow from Bragg's law for the DFT cell and can differ from measured ones.

Structure:
```
data_Ca2Tl4S5
_chemical_formula_sum 'Ca6 Tl12 S15'
_space_group_name_H-M_alt 'R -3 m'
_space_group_IT_number 166
_space_group_name_Hall '-R 3 2"'
_cell_length_a 4.4771
_cell_length_b 4.4771
_cell_length_c 60.6353
_cell_angle_alpha 90.00
_cell_angle_beta 90.00
_cell_angle_gamma 120.00
loop_
_atom_site_label
_atom_site_fract_x
_atom_site_fract_y
_atom_site_fract_z
Ca1 0.0000 0.0000 0.1417
Tl1 0.0000 0.0000 0.3122
Tl2 0.0000 0.0000 0.4242
S1 0.0000 0.0000 0.2159
S2 0.0000 0.0000 0.3621
S3 0.0000 0.0000 0.5000
```

The 10 most intense peaks (2θ = 10–90°), low angle first:
| 2theta | d_spacing | I (rel.) |
| --- | --- | --- |
| 13.14 | 6.737 | 47 |
| 22.98 | 3.869 | 100 |
| 25.16 | 3.539 | 64 |
| 25.81 | 3.452 | 92 |
| 26.46 | 3.369 | 34 |
| 28.14 | 3.171 | 99 |
| 33.05 | 2.710 | 33 |
| 36.46 | 2.464 | 69 |
| 40.29 | 2.239 | 96 |
| 48.85 | 1.864 | 39 |

No. 9
Diffraction record for CaTlVS4. The X-ray powder pattern is calculated, not measured: it uses a cell relaxed with GGA-PBE and Cu Kα.
Peak positions follow from Bragg's law for the DFT cell and can differ from measured ones.

Structure:
```
data_CaTlVS4
_chemical_formula_sum 'Ca2 Tl2 V2 S8'
_space_group_name_H-M_alt 'P 1 21/m 1'
_space_group_IT_number 11
_space_group_name_Hall '-P 2yb'
_cell_length_a 6.608
_cell_length_b 6.671
_cell_length_c 8.705
_cell_angle_alpha 90.00
_cell_angle_beta 107.14
_cell_angle_gamma 90.00
loop_
_atom_site_label
_atom_site_fract_x
_atom_site_fract_y
_atom_site_fract_z
Ca1 0.231 0.250 0.049
Tl1 0.263 0.250 0.567
V1 0.218 0.750 0.824
S1 0.005 0.004 0.778
S2 0.406 0.750 0.070
S3 0.415 0.750 0.666
```

The 10 most intense peaks (2θ = 10–90°), low angle first:
| 2theta | d_spacing | I (rel.) |
| --- | --- | --- |
| 10.64 | 8.318 | 34 |
| 19.35 | 4.586 | 61 |
| 20.01 | 4.438 | 100 |
| 24.08 | 3.696 | 45 |
| 25.23 | 3.529 | 35 |
| 26.73 | 3.335 | 53 |
| 30.07 | 2.972 | 37 |
| 31.99 | 2.797 | 43 |
| 33.00 | 2.715 | 39 |
| 39.29 | 2.293 | 45 |

No. 10
Diffraction record for CaTm4S7. The X-ray powder pattern is calculated, not measured: it uses a cell relaxed with GGA-PBE and Cu Kα.
Peak positions follow from Bragg's law for the DFT cell and can differ from measured ones.

Structure:
```
data_CaTm4S7
_chemical_formula_sum 'Ca2 Tm8 S14'
_space_group_name_H-M_alt 'C 1 m 1'
_space_group_IT_number 8
_space_group_name_Hall 'C -2y'
_cell_length_a 12.729
_cell_length_b 3.787
_cell_length_c 11.591
_cell_angle_alpha 90.00
_cell_angle_beta 104.83
_cell_angle_gamma 90.00
loop_
_atom_site_label
_atom_site_fract_x
_atom_site_fract_y
_atom_site_fract_z
Ca1 0.000 0.000 0.000
Tm1 0.121 0.000 0.419
Tm2 0.228 0.000 0.842
Tm3 0.315 0.500 0.230
Tm4 0.426 0.000 0.619
S1 0.076 0.000 0.630
S2 0.105 0.500 0.896
S3 0.163 0.000 0.209
S4 0.280 0.500 0.472
S5 0.350 0.500 0.767
S6 0.365 0.000 0.068
S7 0.463 0.000 0.371
```

The 10 most intense peaks (2θ = 10–90°), low angle first:
| 2theta | d_spacing | I (rel.) |
| --- | --- | --- |
| 24.07 | 3.698 | 93 |
| 24.53 | 3.629 | 100 |
| 25.28 | 3.523 | 32 |
| 28.04 | 3.182 | 38 |
| 28.33 | 3.150 | 35 |
| 31.76 | 2.817 | 33 |
| 32.17 | 2.783 | 45 |
| 33.38 | 2.685 | 44 |
| 34.54 | 2.597 | 48 |
| 42.26 | 2.139 | 34 |

No. 11
Diffraction record for Ca2YUS6. The X-ray powder pattern is calculated, not measured: it uses a cell relaxed with GGA-PBE and Cu Kα.
Peak positions follow from Bragg's law for the DFT cell and can differ from measured ones.

Structure:
```
data_Ca2YUS6
_chemical_formula_sum 'Ca2 Y1 U1 S6'
_space_group_name_H-M_alt 'P 4 m m'
_space_group_IT_number 99
_space_group_name_Hall 'P 4 -2'
_cell_length_a 7.376
_cell_length_b 7.376
_cell_length_c 5.316
_cell_angle_alpha 90.00
_cell_angle_beta 90.00
_cell_angle_gamma 90.00
loop_
_atom_site_label
_atom_site_fract_x
_atom_site_fract_y
_atom_site_fract_z
Ca1 0.000 0.500 0.000
Y1 0.000 0.000 0.679
U1 0.500 0.500 0.723
S1 0.000 0.000 0.197
S2 0.255 0.255 0.766
S3 0.500 0.500 0.237
```

The 10 most intense peaks (2θ = 10–90°), low angle first:
| 2theta | d_spacing | I (rel.) |
| --- | --- | --- |
| 12.00 | 7.376 | 42 |
| 16.68 | 5.316 | 84 |
| 17.00 | 5.216 | 100 |
| 23.90 | 3.723 | 78 |
| 24.13 | 3.688 | 54 |
| 34.39 | 2.608 | 71 |
| 38.00 | 2.368 | 60 |
| 38.45 | 2.341 | 40 |
| 42.31 | 2.136 | 36 |
| 52.17 | 1.753 | 47 |

No. 12
Diffraction record for Ca2UZnS5. The X-ray powder pattern is calculated, not measured: it uses a cell relaxed with GGA-PBE and Cu Kα.
Peak positions follow from Bragg's law for the DFT cell and can differ from measured ones.

Structure:
```
data_Ca2UZnS5
_chemical_formula_sum 'Ca8 U4 Zn4 S20'
_space_group_name_H-M_alt 'C m c 21'
_space_group_IT_number 36
_space_group_name_Hall 'C 2c -2'
_cell_length_a 3.914
_cell_length_b 17.005
_cell_length_c 12.110
_cell_angle_alpha 90.00
_cell_angle_beta 90.00
_cell_angle_gamma 90.00
loop_
_atom_site_label
_atom_site_fract_x
_atom_site_fract_y
_atom_site_fract_z
Ca1 0.000 0.102 0.000
Ca2 0.000 0.120 0.641
U1 0.000 0.208 0.344
Zn1 0.000 0.446 0.764
S1 0.000 0.051 0.371
S2 0.000 0.288 0.997
S3 0.000 0.308 0.691
S4 0.000 0.363 0.328
S5 0.000 0.498 0.095
```

The 10 most intense peaks (2θ = 10–90°), low angle first:
| 2theta | d_spacing | I (rel.) |
| --- | --- | --- |
| 10.40 | 8.503 | 38 |
| 12.72 | 6.959 | 53 |
| 14.63 | 6.055 | 62 |
| 17.99 | 4.932 | 45 |
| 24.45 | 3.640 | 64 |
| 28.68 | 3.112 | 34 |
| 32.29 | 2.772 | 100 |
| 32.44 | 2.760 | 63 |
| 38.07 | 2.363 | 56 |
| 46.39 | 1.957 | 39 |